Structure and simulated powder diffractogram of Na2NiGe2 (a GGA-PBE-relaxed structure; copper Kα).
Intensities are scaled so that the largest is 1000.

Peak list (12 most intense, 15 to 90 degrees two-theta, in order of rising 2θ)
2θ = 17.73°, I = 975; 2θ = 32.01°, I = 209; 2θ = 33.81°, I = 93; 2θ = 35.90°, I = 417; 2θ = 36.82°, I = 1000; 2θ = 45.89°, I = 341; 2θ = 48.85°, I = 129; 2θ = 49.57°, I = 307; 2θ = 59.60°, I = 300; 2θ = 65.13°, I = 176; 2θ = 74.42°, I = 88; 2θ = 85.93°, I = 104

Atomic structure:
```
10
Lattice="6.253 0.000 0.000 0.000 6.253 0.000 0.000 0.000 5.002" Properties=species:S:1:pos:R:3 pbc="T T T"
Na 1.106 2.021 0.000
Na 2.021 5.147 0.000
Na 4.232 1.106 0.000
Na 5.147 4.232 0.000
Ni 0.000 0.000 2.501
Ni 3.127 3.127 2.501
Ge 0.907 4.034 2.501
Ge 2.219 0.907 2.501
Ge 4.034 5.346 2.501
Ge 5.346 2.219 2.501
```

Structure and simulated powder diffractogram of PuAg2PbO6 (a GGA-PBE-relaxed structure; copper Kα).
Intensities are scaled so that the largest is 1000.

Peak list (12 most intense, 15 to 90 degrees two-theta, in order of rising 2θ)
2θ = 20.35°, I = 224; 2θ = 20.78°, I = 254; 2θ = 28.93°, I = 637; 2θ = 29.24°, I = 1000; 2θ = 35.89°, I = 119; 2θ = 41.37°, I = 348; 2θ = 46.73°, I = 120; 2θ = 47.35°, I = 247; 2θ = 51.47°, I = 422; 2θ = 64.67°, I = 189; 2θ = 67.91°, I = 119; 2θ = 82.89°, I = 114

Atomic structure:
```
10
Lattice="6.173 0.000 0.000 0.000 6.173 0.000 0.000 0.000 4.275" Properties=species:S:1:pos:R:3 pbc="T T T"
Pu 0.000 0.000 0.000
Ag 0.000 3.086 1.419
Ag 3.086 0.000 1.419
Pb 3.086 3.086 4.050
O 0.000 0.000 2.163
O 1.395 1.395 0.054
O 1.395 4.777 0.054
O 3.086 3.086 1.931
O 4.777 1.395 0.054
O 4.777 4.777 0.054
```

Structure and simulated powder diffractogram of SbTe2 (a GGA-PBE-relaxed structure; copper Kα).
Intensities are scaled so that the largest is 1000.

Peak list (12 most intense, 15 to 90 degrees two-theta, in order of rising 2θ)
2θ = 26.31°, I = 452; 2θ = 27.65°, I = 780; 2θ = 29.22°, I = 186; 2θ = 32.17°, I = 1000; 2θ = 37.69°, I = 113; 2θ = 38.89°, I = 137; 2θ = 40.10°, I = 271; 2θ = 44.11°, I = 406; 2θ = 44.23°, I = 146; 2θ = 48.60°, I = 167; 2θ = 61.81°, I = 125; 2θ = 67.89°, I = 113

Atomic structure:
```
12
Lattice="7.047 0.000 0.000 0.000 4.498 0.000 -0.029 0.000 12.288" Properties=species:S:1:pos:R:3 pbc="T T T"
Sb 0.000 0.000 0.000
Sb -0.015 2.249 6.144
Sb 3.509 0.000 6.144
Sb 3.524 2.249 0.000
Te 1.021 0.000 4.323
Te 1.036 2.249 1.822
Te 2.459 0.000 10.466
Te 2.473 2.249 7.965
Te 4.545 2.249 4.323
Te 4.560 0.000 1.822
Te 5.982 2.249 10.466
Te 5.997 0.000 7.965
```

Structure and simulated powder diffractogram of Tl2InHg6 (a GGA-PBE-relaxed structure; copper Kα).
Intensities are scaled so that the largest is 1000.

Peak list (12 most intense, 15 to 90 degrees two-theta, in order of rising 2θ)
2θ = 30.26°, I = 625; 2θ = 32.89°, I = 1000; 2θ = 33.45°, I = 693; 2θ = 34.27°, I = 346; 2θ = 37.60°, I = 124; 2θ = 46.36°, I = 298; 2θ = 55.45°, I = 231; 2θ = 55.81°, I = 165; 2θ = 58.55°, I = 135; 2θ = 60.15°, I = 143; 2θ = 61.19°, I = 151; 2θ = 68.98°, I = 121

Atomic structure:
```
18
Lattice="9.205 0.000 0.000 0.000 9.541 0.000 0.000 0.000 5.907" Properties=species:S:1:pos:R:3 pbc="T T T"
Tl 1.549 2.380 0.000
Tl 3.054 7.150 2.954
Tl 6.151 2.391 2.954
Tl 7.656 7.161 0.000
In 0.000 0.000 2.954
In 4.603 4.770 0.000
Hg 0.067 3.227 2.954
Hg 1.470 8.709 0.000
Hg 1.511 5.591 0.000
Hg 3.092 0.820 2.954
Hg 3.133 3.938 2.954
Hg 4.535 7.997 0.000
Hg 4.670 1.544 0.000
Hg 6.072 5.603 2.954
Hg 6.113 8.721 2.954
Hg 7.694 3.950 0.000
Hg 7.735 0.832 0.000
Hg 9.138 6.314 2.954
```

Structure and simulated powder diffractogram of Nd5ThSe7 (a GGA-PBE-relaxed structure; copper Kα).
Intensities are scaled so that the largest is 1000.

Peak list (12 most intense, 15 to 90 degrees two-theta, in order of rising 2θ)
2θ = 24.64°, I = 404; 2θ = 25.50°, I = 455; 2θ = 28.77°, I = 434; 2θ = 29.54°, I = 647; 2θ = 29.92°, I = 880; 2θ = 30.56°, I = 1000; 2θ = 31.13°, I = 826; 2θ = 39.71°, I = 404; 2θ = 40.14°, I = 320; 2θ = 42.04°, I = 318; 2θ = 42.89°, I = 413; 2θ = 43.70°, I = 924

Atomic structure:
```
26
Lattice="7.011 -2.070 0.000 7.011 2.070 0.000 -0.978 0.000 24.708" Properties=species:S:1:pos:R:3 pbc="T T T"
Nd 0.000 0.000 0.000
Nd -0.474 0.000 12.354
Nd 2.900 0.000 22.982
Nd 3.433 0.000 14.107
Nd 5.896 0.000 8.727
Nd 6.259 0.000 3.595
Nd 6.790 0.000 21.114
Nd 7.172 0.000 15.985
Nd 9.638 0.000 10.604
Nd 10.145 0.000 1.727
Th 2.699 0.000 5.849
Th 10.360 0.000 18.872
Se 0.801 0.000 9.569
Se 1.315 0.000 2.919
Se 1.692 0.000 20.245
Se 2.172 0.000 16.883
Se 4.632 0.000 11.386
Se 5.099 0.000 0.929
Se 5.450 0.000 18.485
Se 7.608 0.000 6.223
Se 7.946 0.000 23.782
Se 8.439 0.000 13.326
Se 10.896 0.000 7.828
Se 11.356 0.000 4.464
Se 11.733 0.000 21.791
Se 12.272 0.000 15.136
```

Structure and simulated powder diffractogram of LuUTc (a GGA-PBE-relaxed structure; copper Kα).
Intensities are scaled so that the largest is 1000.

Peak list (12 most intense, 15 to 90 degrees two-theta, in order of rising 2θ)
2θ = 16.23°, I = 88; 2θ = 27.41°, I = 182; 2θ = 32.79°, I = 114; 2θ = 36.09°, I = 1000; 2θ = 37.30°, I = 546; 2θ = 50.50°, I = 139; 2θ = 53.78°, I = 193; 2θ = 64.09°, I = 107; 2θ = 64.43°, I = 68; 2θ = 65.81°, I = 139; 2θ = 66.49°, I = 345; 2θ = 89.96°, I = 130

Atomic structure:
```
6
Lattice="3.409 0.000 0.000 0.000 3.409 0.000 0.000 0.000 10.925" Properties=species:S:1:pos:R:3 pbc="T T T"
Lu 0.000 0.000 0.000
Lu 1.705 1.705 5.463
U 0.000 0.000 3.281
U 1.705 1.705 8.743
Tc 0.000 0.000 7.532
Tc 1.705 1.705 2.069
```

Number 5 is which compound?
Nd5ThSe7